# 1
The following is a theoretical powder diffractogram of Pm12Sn5Pd2. It was derived from the PBE geometry in Alexandria, using CuKα.
Peak positions follow from Bragg's law for the DFT cell and can differ from measured ones.

Crystal structure
Unit cell a=9.6174 b=9.6174 c=9.8325 alpha=102.80 beta=102.80 gamma=46.86
Fractional coordinates of all 19 atoms:
1 Pm 0.0067 0.0067 0.2739
2 Pm 0.0858 0.5905 0.9094
3 Pm 0.1055 0.5961 0.4239
4 Pm 0.4039 0.8945 0.5761
5 Pm 0.4095 0.9142 0.0906
6 Pm 0.4883 0.4883 0.1723
7 Pm 0.5117 0.5117 0.8277
8 Pm 0.5905 0.0858 0.9094
9 Pm 0.5961 0.1055 0.4239
10 Pm 0.8945 0.4039 0.5761
11 Pm 0.9142 0.4095 0.0906
12 Pm 0.9933 0.9933 0.7261
13 Sn 0.1838 0.1838 0.8363
14 Sn 0.1980 0.1980 0.3611
15 Sn 0.5000 0.5000 0.5000
16 Sn 0.8020 0.8020 0.6389
17 Sn 0.8162 0.8162 0.1637
18 Pd 0.1843 0.8157 0.0000
19 Pd 0.8157 0.1843 0.0000

Peak list (10 most intense, 10° ≤ 2θ ≤ 90°, by angle)
Position (°2θ)  I_rel
21.5  39
29.9  65
30.2  88
31.3  100
31.4  79
33.3  43
33.9  33
36.6  63
47.6  34
58.1  30

# 2
The following is a theoretical powder diffractogram of Pm3Sn7Pd4. It was derived from the PBE geometry in Alexandria, using CuKα.
Peak positions follow from Bragg's law for the DFT cell and can differ from measured ones.

Crystal structure
Unit cell a=8.8967 b=8.8967 c=10.2090 alpha=123.29 beta=123.29 gamma=29.31
Fractional coordinates of all 14 atoms:
1 Pm 0.0000 0.0000 0.0000
2 Pm 0.3263 0.3263 0.3247
3 Pm 0.6737 0.6737 0.6753
4 Sn 0.0000 0.0000 0.5000
5 Sn 0.1694 0.1694 0.4345
6 Sn 0.3098 0.3098 0.9443
7 Sn 0.4932 0.4932 0.2579
8 Sn 0.5068 0.5068 0.7421
9 Sn 0.6902 0.6902 0.0557
10 Sn 0.8306 0.8306 0.5655
11 Pd 0.1262 0.1262 0.8582
12 Pd 0.3473 0.3473 0.7249
13 Pd 0.6527 0.6527 0.2751
14 Pd 0.8738 0.8738 0.1418

Peak list (10 most intense, 10° ≤ 2θ ≤ 90°, by angle)
Position (°2θ)  I_rel
27.3  12
32.3  89
32.9  100
35.2  18
38.1  32
40.1  44
56.5  22
62.1  16
64.8  11
67.9  11

# 3
The following is a theoretical powder diffractogram of PmSn2Pd4. It was derived from the PBE geometry in Alexandria, using CuKα.
Peak positions follow from Bragg's law for the DFT cell and can differ from measured ones.

Crystal structure
Unit cell a=8.0729 b=8.0729 c=4.2737 alpha=90.00 beta=90.00 gamma=90.00
Fractional coordinates of all 14 atoms:
1 Pm 0.0000 0.0000 0.0000
2 Pm 0.5000 0.5000 0.5000
3 Sn 0.2166 0.2166 0.5000
4 Sn 0.2834 0.7166 0.0000
5 Sn 0.7166 0.2834 0.0000
6 Sn 0.7834 0.7834 0.5000
7 Pd 0.0921 0.6523 0.5000
8 Pd 0.1523 0.4079 0.0000
9 Pd 0.3477 0.9079 0.5000
10 Pd 0.4079 0.1523 0.0000
11 Pd 0.5921 0.8477 0.0000
12 Pd 0.6523 0.0921 0.5000
13 Pd 0.8477 0.5921 0.0000
14 Pd 0.9079 0.3477 0.5000

Peak list (10 most intense, 10° ≤ 2θ ≤ 90°, by angle)
Position (°2θ)  I_rel
31.3  25
32.5  100
35.2  42
37.9  61
41.2  89
42.3  44
46.4  29
56.1  22
61.4  24
64.6  22

# 4
The following is a theoretical powder diffractogram of Pm2Sn2Pd3. It was derived from the PBE geometry in Alexandria, using CuKα.
Peak positions follow from Bragg's law for the DFT cell and can differ from measured ones.

Crystal structure
Unit cell a=7.5679 b=7.5679 c=7.5679 alpha=109.47 beta=109.47 gamma=109.47
Fractional coordinates of all 14 atoms:
1 Pm 0.0000 0.0027 0.5000
2 Pm 0.0027 0.5000 0.0000
3 Pm 0.4973 0.4973 0.4973
4 Pm 0.5000 0.0000 0.0027
5 Sn 0.0000 0.5936 0.5000
6 Sn 0.5000 0.0000 0.5936
7 Sn 0.5936 0.5000 0.0000
8 Sn 0.9064 0.9064 0.9064
9 Pd 0.0180 0.2500 0.2680
10 Pd 0.2320 0.4820 0.7500
11 Pd 0.2500 0.2680 0.0180
12 Pd 0.2680 0.0180 0.2500
13 Pd 0.4820 0.7500 0.2320
14 Pd 0.7500 0.2320 0.4820

Peak list (10 most intense, 10° ≤ 2θ ≤ 90°, by angle)
Position (°2θ)  I_rel
28.9  100
32.4  41
35.6  69
38.5  72
41.3  75
44.0  19
48.9  23
51.2  24
59.9  41
71.6  46

Number 2 is which compound?
Pm3Sn7Pd4

What is the formula in the fourth record?
Pm2Sn2Pd3